This entry pairs a crystal structure of HoCdNi4 with its calculated PXRD pattern. Radiation: CuKα. Structure: a crystal structure in the Materials Project, relaxed with PBE.
Peak positions follow from Bragg's law for the DFT cell and can differ from measured ones.

Structure:
```
HoCdNi4
1.0
0.000 3.508 3.508
3.508 0.000 3.508
3.508 3.508 0.000
Ho Cd Ni
1 1 4
direct
0.000 0.000 0.000 Ho
0.750 0.750 0.750 Cd
0.376 0.376 0.376 Ni
0.376 0.376 0.873 Ni
0.376 0.873 0.376 Ni
0.873 0.376 0.376 Ni
```

Top 10 peaks for 15° ≤ 2θ ≤ 90°, sorted by position:
21.95°, d 4.050, intensity 9.0
25.39°, d 3.508, intensity 2.3
36.22°, d 2.480, intensity 57.2
42.75°, d 2.115, intensity 100.0
44.75°, d 2.025, intensity 18.8
57.24°, d 1.609, intensity 2.5
65.14°, d 1.432, intensity 20.1
69.64°, d 1.350, intensity 29.7
76.87°, d 1.240, intensity 22.1
88.06°, d 1.109, intensity 9.1

***

This entry pairs a crystal structure of Ho4CdNi with its calculated PXRD pattern. Radiation: CuKα. Structure: a crystal structure in the Materials Project, relaxed with PBE.
Peak positions follow from Bragg's law for the DFT cell and can differ from measured ones.

Structure:
```
Ho4CdNi
1.0
0.000 6.718 6.718
6.718 0.000 6.718
6.718 6.718 0.000
Ho Cd Ni
16 4 4
direct
0.187 0.187 0.813 Ho
0.187 0.813 0.187 Ho
0.187 0.813 0.813 Ho
0.401 0.401 0.401 Ho
0.401 0.401 0.798 Ho
0.401 0.798 0.401 Ho
0.561 0.561 0.939 Ho
0.561 0.939 0.561 Ho
0.561 0.939 0.939 Ho
0.798 0.401 0.401 Ho
0.813 0.187 0.187 Ho
0.813 0.187 0.813 Ho
0.813 0.813 0.187 Ho
0.939 0.561 0.561 Ho
0.939 0.561 0.939 Ho
0.939 0.939 0.561 Ho
0.168 0.168 0.168 Cd
0.168 0.168 0.495 Cd
0.168 0.495 0.168 Cd
0.495 0.168 0.168 Cd
0.178 0.607 0.607 Ni
0.607 0.178 0.607 Ni
0.607 0.607 0.178 Ni
0.607 0.607 0.607 Ni
```

Top 10 peaks for 15° ≤ 2θ ≤ 90°, sorted by position:
28.97°, d 3.082, intensity 33.9
32.65°, d 2.743, intensity 58.6
34.69°, d 2.586, intensity 100.0
37.88°, d 2.375, intensity 27.6
56.02°, d 1.641, intensity 13.4
58.27°, d 1.583, intensity 51.3
59.59°, d 1.551, intensity 12.8
69.63°, d 1.350, intensity 16.1
87.03°, d 1.120, intensity 9.4
88.16°, d 1.108, intensity 14.9

***

This entry pairs a crystal structure of Ho2CdPd2 with its calculated PXRD pattern. Radiation: CuKα. Structure: a crystal structure in the Materials Project, relaxed with PBE.
Peak positions follow from Bragg's law for the DFT cell and can differ from measured ones.

Structure:
```
Ho2CdPd2
1.0
7.707 0.000 0.000
0.000 7.707 0.000
0.000 0.000 3.738
Ho Cd Pd
4 2 4
direct
0.175 0.325 0.000 Ho
0.325 0.825 0.000 Ho
0.675 0.175 0.000 Ho
0.825 0.675 0.000 Ho
0.000 0.000 0.500 Cd
0.500 0.500 0.500 Cd
0.127 0.627 0.500 Pd
0.373 0.127 0.500 Pd
0.627 0.873 0.500 Pd
0.873 0.373 0.500 Pd
```

Top 10 peaks for 15° ≤ 2θ ≤ 90°, sorted by position:
32.87°, d 2.725, intensity 10.6
33.39°, d 2.683, intensity 35.2
35.42°, d 2.534, intensity 100.0
36.88°, d 2.437, intensity 40.7
48.72°, d 1.869, intensity 24.0
54.92°, d 1.672, intensity 15.4
62.63°, d 1.483, intensity 16.9
66.75°, d 1.401, intensity 10.2
70.45°, d 1.337, intensity 10.5
82.28°, d 1.172, intensity 8.8

***

This entry pairs a crystal structure of Ho4CdPt with its calculated PXRD pattern. Radiation: CuKα. Structure: a crystal structure in the Materials Project, relaxed with PBE.
Peak positions follow from Bragg's law for the DFT cell and can differ from measured ones.

Structure:
```
Ho4CdPt
1.0
0.000 6.830 6.830
6.830 0.000 6.830
6.830 6.830 0.000
Ho Cd Pt
16 4 4
direct
0.185 0.185 0.815 Ho
0.185 0.815 0.185 Ho
0.185 0.815 0.815 Ho
0.399 0.399 0.399 Ho
0.399 0.399 0.804 Ho
0.399 0.804 0.399 Ho
0.560 0.560 0.940 Ho
0.560 0.940 0.560 Ho
0.560 0.940 0.940 Ho
0.804 0.399 0.399 Ho
0.815 0.185 0.185 Ho
0.815 0.185 0.815 Ho
0.815 0.815 0.185 Ho
0.940 0.560 0.560 Ho
0.940 0.560 0.940 Ho
0.940 0.940 0.560 Ho
0.168 0.168 0.168 Cd
0.168 0.168 0.496 Cd
0.168 0.496 0.168 Cd
0.496 0.168 0.168 Cd
0.179 0.607 0.607 Pt
0.607 0.179 0.607 Pt
0.607 0.607 0.179 Pt
0.607 0.607 0.607 Pt
```

Top 10 peaks for 15° ≤ 2θ ≤ 90°, sorted by position:
28.48°, d 3.134, intensity 16.0
32.10°, d 2.788, intensity 39.2
34.11°, d 2.629, intensity 100.0
37.24°, d 2.415, intensity 35.6
57.23°, d 1.610, intensity 39.1
58.52°, d 1.577, intensity 14.0
68.33°, d 1.373, intensity 13.0
71.44°, d 1.321, intensity 12.1
86.36°, d 1.127, intensity 13.0
88.18°, d 1.108, intensity 13.9

***

This entry pairs a crystal structure of HoCdPt2 with its calculated PXRD pattern. Radiation: CuKα. Structure: a crystal structure in the Materials Project, relaxed with PBE.
Peak positions follow from Bragg's law for the DFT cell and can differ from measured ones.

Structure:
```
HoCdPt2
1.0
0.000 3.388 3.388
3.388 0.000 3.388
3.388 3.388 0.000
Ho Cd Pt
1 1 2
direct
0.000 0.000 0.000 Ho
0.500 0.500 0.500 Cd
0.250 0.250 0.250 Pt
0.750 0.750 0.750 Pt
```

Top 10 peaks for 15° ≤ 2θ ≤ 90°, sorted by position:
22.73°, d 3.912, intensity 1.2
26.30°, d 3.388, intensity 3.1
37.54°, d 2.396, intensity 100.0
44.33°, d 2.043, intensity 0.7
46.42°, d 1.956, intensity 1.0
54.14°, d 1.694, intensity 17.5
61.16°, d 1.515, intensity 1.4
67.74°, d 1.383, intensity 35.6
80.11°, d 1.198, intensity 11.2
86.09°, d 1.129, intensity 0.7

***

This entry pairs a crystal structure of Ho4CdRh with its calculated PXRD pattern. Radiation: CuKα. Structure: a crystal structure in the Materials Project, relaxed with PBE.
Peak positions follow from Bragg's law for the DFT cell and can differ from measured ones.

Structure:
```
Ho4CdRh
1.0
0.000 6.771 6.771
6.771 0.000 6.771
6.771 6.771 0.000
Ho Cd Rh
16 4 4
direct
0.061 0.061 0.439 Ho
0.061 0.439 0.061 Ho
0.061 0.439 0.439 Ho
0.186 0.186 0.814 Ho
0.186 0.814 0.186 Ho
0.186 0.814 0.814 Ho
0.201 0.600 0.600 Ho
0.439 0.061 0.061 Ho
0.439 0.061 0.439 Ho
0.439 0.439 0.061 Ho
0.600 0.201 0.600 Ho
0.600 0.600 0.201 Ho
0.600 0.600 0.600 Ho
0.814 0.186 0.186 Ho
0.814 0.186 0.814 Ho
0.814 0.814 0.186 Ho
0.507 0.831 0.831 Cd
0.831 0.507 0.831 Cd
0.831 0.831 0.507 Cd
0.831 0.831 0.831 Cd
0.393 0.393 0.393 Rh
0.393 0.393 0.822 Rh
0.393 0.822 0.393 Rh
0.822 0.393 0.393 Rh
```

Top 10 peaks for 15° ≤ 2θ ≤ 90°, sorted by position:
28.74°, d 3.107, intensity 26.6
32.39°, d 2.764, intensity 51.4
34.41°, d 2.606, intensity 100.0
37.57°, d 2.394, intensity 30.2
55.55°, d 1.654, intensity 10.2
57.77°, d 1.596, intensity 47.1
59.08°, d 1.564, intensity 13.3
69.01°, d 1.361, intensity 15.0
87.30°, d 1.117, intensity 14.3
89.16°, d 1.098, intensity 14.0

***

This entry pairs a crystal structure of Ho4CdS7 with its calculated PXRD pattern. Radiation: CuKα. Structure: a crystal structure in the Materials Project, relaxed with PBE.
Peak positions follow from Bragg's law for the DFT cell and can differ from measured ones.

Structure:
```
Ho4CdS7
1.0
6.361 -1.913 0.000
6.361 1.913 0.000
-2.961 0.000 11.181
Ho Cd S
4 1 7
direct
0.000 0.000 0.000 Ho
0.386 0.386 0.605 Ho
0.579 0.579 0.372 Ho
0.694 0.694 0.803 Ho
0.809 0.809 0.222 Cd
0.034 0.034 0.750 S
0.193 0.193 0.304 S
0.353 0.353 0.850 S
0.436 0.436 0.152 S
0.654 0.654 0.018 S
0.733 0.733 0.587 S
0.953 0.953 0.449 S
```

Top 10 peaks for 15° ≤ 2θ ≤ 90°, sorted by position:
24.10°, d 3.693, intensity 100.0
24.56°, d 3.625, intensity 91.9
26.23°, d 3.397, intensity 36.2
28.09°, d 3.176, intensity 74.4
31.59°, d 2.832, intensity 51.0
32.00°, d 2.797, intensity 35.3
33.22°, d 2.697, intensity 56.3
34.38°, d 2.608, intensity 48.4
42.17°, d 2.143, intensity 36.9
47.54°, d 1.913, intensity 33.0

***

This entry pairs a crystal structure of YHoCd2 with its calculated PXRD pattern. Radiation: CuKα. Structure: a crystal structure in the Materials Project, relaxed with PBE.
Peak positions follow from Bragg's law for the DFT cell and can differ from measured ones.

Structure:
```
YHoCd2
1.0
0.000 3.748 3.748
3.748 0.000 3.748
3.748 3.748 0.000
Y Ho Cd
1 1 2
direct
0.000 0.000 0.000 Y
0.500 0.500 0.500 Ho
0.250 0.250 0.250 Cd
0.750 0.750 0.750 Cd
```

Top 10 peaks for 15° ≤ 2θ ≤ 90°, sorted by position:
20.52°, d 4.328, intensity 4.8
33.82°, d 2.650, intensity 100.0
39.88°, d 2.260, intensity 2.9
48.58°, d 1.874, intensity 17.7
53.26°, d 1.720, intensity 1.3
60.50°, d 1.530, intensity 36.0
64.60°, d 1.443, intensity 1.0
71.15°, d 1.325, intensity 11.0
74.95°, d 1.267, intensity 1.0
81.14°, d 1.185, intensity 15.4

***

This entry pairs a crystal structure of CdI2 with its calculated PXRD pattern. Radiation: CuKα. Structure: a crystal structure in the Materials Project, relaxed with PBE.
Peak positions follow from Bragg's law for the DFT cell and can differ from measured ones.

Structure:
```
CdI2
1.0
2.170 1.253 44.127
-2.170 1.253 44.127
0.000 -2.505 44.127
Cd I
6 12
direct
0.000 0.000 0.000 Cd
0.056 0.056 0.056 Cd
0.167 0.167 0.167 Cd
0.222 0.222 0.222 Cd
0.444 0.444 0.444 Cd
0.611 0.611 0.611 Cd
0.098 0.098 0.098 I
0.265 0.265 0.265 I
0.320 0.320 0.320 I
0.376 0.376 0.376 I
0.487 0.487 0.487 I
0.543 0.543 0.543 I
0.680 0.680 0.680 I
0.735 0.735 0.735 I
0.791 0.791 0.791 I
0.846 0.846 0.846 I
0.902 0.902 0.902 I
0.957 0.957 0.957 I
```

Top 10 peaks for 15° ≤ 2θ ≤ 90°, sorted by position:
26.33°, d 3.385, intensity 53.4
26.96°, d 3.308, intensity 100.0
27.99°, d 3.188, intensity 18.5
30.82°, d 2.901, intensity 19.3
31.72°, d 2.821, intensity 32.4
36.69°, d 2.449, intensity 23.8
41.62°, d 2.170, intensity 89.3
43.50°, d 2.081, intensity 50.4
50.29°, d 1.814, intensity 18.2
66.68°, d 1.403, intensity 38.5

***

This entry pairs a crystal structure of CdI2 with its calculated PXRD pattern. Radiation: CuKα. Structure: a crystal structure in the Materials Project, relaxed with PBE.
Peak positions follow from Bragg's law for the DFT cell and can differ from measured ones.

Structure:
```
CdI2
1.0
4.342 0.000 0.000
-2.171 3.761 0.000
0.000 0.000 103.172
Cd I
14 28
direct
0.000 0.000 0.000 Cd
0.000 0.000 0.071 Cd
0.000 0.000 0.143 Cd
0.000 0.000 0.214 Cd
0.000 0.000 0.286 Cd
0.000 0.000 0.429 Cd
0.000 0.000 0.571 Cd
0.000 0.000 0.857 Cd
0.667 0.333 0.357 Cd
0.667 0.333 0.500 Cd
0.667 0.333 0.643 Cd
0.667 0.333 0.714 Cd
0.667 0.333 0.786 Cd
0.667 0.333 0.929 Cd
0.000 0.000 0.340 I
0.000 0.000 0.483 I
0.000 0.000 0.626 I
0.000 0.000 0.698 I
0.000 0.000 0.769 I
0.000 0.000 0.912 I
0.333 0.667 0.017 I
0.333 0.667 0.088 I
0.333 0.667 0.160 I
0.333 0.667 0.231 I
0.333 0.667 0.302 I
0.333 0.667 0.374 I
0.333 0.667 0.445 I
0.333 0.667 0.517 I
0.333 0.667 0.588 I
0.333 0.667 0.660 I
0.333 0.667 0.731 I
0.333 0.667 0.802 I
0.333 0.667 0.874 I
0.333 0.667 0.945 I
0.667 0.333 0.055 I
0.667 0.333 0.126 I
0.667 0.333 0.198 I
0.667 0.333 0.269 I
0.667 0.333 0.412 I
0.667 0.333 0.555 I
0.667 0.333 0.840 I
0.667 0.333 0.983 I
```

Top 10 peaks for 15° ≤ 2θ ≤ 90°, sorted by position:
26.61°, d 3.350, intensity 100.0
29.92°, d 2.986, intensity 21.9
34.07°, d 2.632, intensity 22.4
38.82°, d 2.320, intensity 12.5
41.60°, d 2.171, intensity 52.2
43.45°, d 2.083, intensity 13.3
44.03°, d 2.057, intensity 25.6
50.07°, d 1.822, intensity 17.2
66.57°, d 1.405, intensity 22.7
67.06°, d 1.396, intensity 14.1

***

This entry pairs a crystal structure of CdI2 with its calculated PXRD pattern. Radiation: CuKα. Structure: a crystal structure in the Materials Project, relaxed with PBE.
Peak positions follow from Bragg's law for the DFT cell and can differ from measured ones.

Structure:
```
CdI2
1.0
4.333 0.000 0.000
-2.166 3.752 0.000
0.000 0.000 59.288
Cd I
8 16
direct
0.000 0.000 0.000 Cd
0.000 0.000 0.250 Cd
0.000 0.000 0.500 Cd
0.000 0.000 0.750 Cd
0.333 0.667 0.125 Cd
0.333 0.667 0.375 Cd
0.667 0.333 0.625 Cd
0.667 0.333 0.875 Cd
0.000 0.000 0.154 I
0.000 0.000 0.404 I
0.000 0.000 0.596 I
0.000 0.000 0.846 I
0.333 0.667 0.029 I
0.333 0.667 0.279 I
0.333 0.667 0.529 I
0.333 0.667 0.654 I
0.333 0.667 0.779 I
0.333 0.667 0.904 I
0.667 0.333 0.096 I
0.667 0.333 0.221 I
0.667 0.333 0.346 I
0.667 0.333 0.471 I
0.667 0.333 0.721 I
0.667 0.333 0.971 I
```

Top 10 peaks for 15° ≤ 2θ ≤ 90°, sorted by position:
25.97°, d 3.431, intensity 18.4
26.63°, d 3.348, intensity 100.0
27.35°, d 3.260, intensity 20.3
28.99°, d 3.080, intensity 18.7
29.90°, d 2.988, intensity 60.5
38.71°, d 2.326, intensity 39.3
41.69°, d 2.166, intensity 73.6
43.52°, d 2.079, intensity 19.5
43.88°, d 2.063, intensity 24.0
66.39°, d 1.408, intensity 33.9